Diffraction record for Ag3H3Pt2. The powder X-ray diffraction pattern is simulated, not measured: it uses the GGA-PBE geometry in Alexandria and CuKα.
Peak positions follow from Bragg's law for the DFT cell and can differ from measured ones.

Cell and atoms:
Unit cell a=5.526 b=5.526 c=11.009 alpha=90.00 beta=90.00 gamma=141.98
Atoms (fractional coordinates):
Ag 0.061 0.939 0.617
Ag 0.061 0.939 0.883
Ag 0.408 0.592 0.750
Ag 0.592 0.408 0.250
Ag 0.939 0.061 0.117
Ag 0.939 0.061 0.383
H 0.275 0.725 0.250
H 0.299 0.701 0.561
H 0.299 0.701 0.939
H 0.701 0.299 0.061
H 0.701 0.299 0.439
H 0.725 0.275 0.750
Pt 0.222 0.778 0.098
Pt 0.222 0.778 0.402
Pt 0.778 0.222 0.598
Pt 0.778 0.222 0.902

Main lines, by intensity (10° ≤ 2θ ≤ 90°):
- 2.441 Å, rel. 1000
- 2.496 Å, rel. 640
- 2.068 Å, rel. 410
- 2.128 Å, rel. 407
- 2.140 Å, rel. 400
- 2.752 Å, rel. 275
- 1.332 Å, rel. 256
- 1.800 Å, rel. 250
- 1.375 Å, rel. 223
- 3.404 Å, rel. 192
- 5.225 Å, rel. 191
- 3.790 Å, rel. 169